Diffraction record for Ba2CeNbO6. The XRD peak list is calculated, not measured: it uses a structure optimized by DFT (PBE) and λ = 1.5418 Å (Cu Kα).
No peak broadening, texture or thermal motion is included.

Structural model:
a b c (Å): 6.129 6.129 6.129
angles (deg): 60.00 60.00 60.00
Sites, in units of the cell vectors:
Ba 0.250 0.250 0.250
Ba 0.750 0.750 0.750
Ce 0.000 0.000 0.000
Nb 0.500 0.500 0.500
O 0.264 0.264 0.736
O 0.264 0.736 0.264
O 0.264 0.736 0.736
O 0.736 0.264 0.264
O 0.736 0.264 0.736
O 0.736 0.736 0.264

Peak list (10 most intense, 10 to 80 degrees two-theta, most intense first)
two_theta, d (Å), I_rel
29.14, 3.064, 1000
51.67, 1.769, 406
41.68, 2.167, 304
60.42, 1.532, 190
68.47, 1.370, 180
76.09, 1.251, 62
35.89, 2.502, 28
34.32, 2.613, 13
17.72, 5.004, 11
45.63, 1.988, 9